The following is a theoretical powder diffractogram of Li2VF6. It was derived from a PBE+U-relaxed structure, using a wavelength of 1.5418 Å.

Atomic structure:
```
data_Li2VF6
_cell_length_a 5.511
_cell_length_b 9.251
_cell_length_c 8.498
_cell_angle_alpha 90.00
_cell_angle_beta 90.00
_cell_angle_gamma 90.00
_space_group_name_H-M_alt 'C m c 21'
_space_group_IT_number 36
_space_group_name_Hall 'C 2c -2'
loop_
_atom_site_label
_atom_site_type_symbol
_atom_site_fract_x
_atom_site_fract_y
_atom_site_fract_z
Li1 Li 0.000 0.043 0.000
Li2 Li 0.000 0.274 0.548
V1 V 0.000 0.379 0.214
F1 F 0.000 0.182 0.185
F2 F 0.000 0.423 0.713
F3 F 0.230 0.367 0.380
F4 F 0.239 0.114 0.565
```

Peak list (10 most intense, 2θ = 10–80°, in order of rising 2θ)
- 2θ = 18.74°, rel. 63, hkl 1 1 0
- 2θ = 20.91°, rel. 37, hkl 0 0 2
- 2θ = 21.48°, rel. 87, hkl 1 1 1
- 2θ = 21.88°, rel. 90, hkl 0 2 1
- 2θ = 28.22°, rel. 61, hkl 1 1 2
- 2θ = 36.98°, rel. 21, hkl 1 1 3
- 2θ = 38.95°, rel. 100, hkl 0 4 0
- 2θ = 50.22°, rel. 41, hkl 2 2 3
- 2θ = 54.54°, rel. 28, hkl 2 0 4
- 2θ = 56.26°, rel. 24, hkl 2 4 2